Entry 1:
# Sm2Dy4Er5
Theoretical PXRD pattern, copper Kα. Input: a DFT-relaxed cell (GGA-PBE, Alexandria).

Principal peaks in the range 10 to 90 degrees two-theta, in order of falling intensity:
- 2θ 32.8, I = 1000, hkl 1 2 1
- 2θ 32.1, I = 659, hkl 0 3 3
- 2θ 30.6, I = 464, hkl 0 2 6
- 2θ 37.6, I = 452, hkl 1 0 7
- 2θ 31.0, I = 361, hkl 0 0 8
- 2θ 28.6, I = 355, hkl 1 1 2

Cell and atoms:
Lattice parameters (Å, degrees): 3.4827 8.9838 23.0592 90.00 90.00 90.00
Space group Immm (No. 71)
Unique sites:
Sm1 0.0000 0.0000 0.2320 (multiplicity 4)
Dy1 0.0000 0.0000 0.0970 (multiplicity 4)
Dy2 0.0000 0.3075 0.5000 (multiplicity 4)
Er1 0.0000 0.1952 0.3575 (multiplicity 8)
Er2 0.0000 0.5000 0.0000 (multiplicity 2)

---

Entry 2:
# Sm2Dy5Er4
Theoretical PXRD pattern, copper Kα. Input: a DFT-relaxed cell (GGA-PBE, Alexandria).

Principal peaks in the range 10 to 90 degrees two-theta, in order of falling intensity:
- 2θ 32.8, I = 1000, hkl 1 2 1
- 2θ 32.1, I = 658, hkl 0 3 3
- 2θ 30.6, I = 480, hkl 0 2 6
- 2θ 37.5, I = 461, hkl 1 0 7
- 2θ 30.9, I = 363, hkl 0 0 8
- 2θ 28.6, I = 358, hkl 1 1 2

Cell and atoms:
Lattice parameters (Å, degrees): 3.4804 8.9793 23.1484 90.00 90.00 90.00
Space group Immm (No. 71)
Unique sites:
Sm1 0.0000 0.0000 0.2319 (multiplicity 4)
Dy1 0.0000 0.1966 0.3574 (multiplicity 8)
Dy2 0.0000 0.5000 0.0000 (multiplicity 2)
Er1 0.0000 0.0000 0.0968 (multiplicity 4)
Er2 0.0000 0.3112 0.5000 (multiplicity 4)

---

Entry 3:
# SmDy6Er6
Theoretical PXRD pattern, copper Kα. Input: a DFT-relaxed cell (GGA-PBE, Alexandria).

Principal peaks in the range 10 to 90 degrees two-theta, in order of falling intensity:
- 2θ 34.5, I = 1000, hkl 2 2 0
- 2θ 30.3, I = 910, hkl 0 0 2
- 2θ 29.3, I = 746, hkl 1 3 -1
- 2θ 32.4, I = 387, hkl 2 0 -2
- 2θ 35.5, I = 295, hkl 1 3 1
- 2θ 31.9, I = 292, hkl 2 2 -1

Cell and atoms:
Lattice parameters (Å, degrees): 6.5451 10.9647 6.5462 90.00 115.38 90.00
Space group P2/m (No. 10)
Unique sites:
Sm1 0.0000 0.0000 0.0000 (multiplicity 1)
Dy1 0.0000 0.3348 0.0000 (multiplicity 2)
Dy2 0.2637 0.5000 0.7366 (multiplicity 2)
Dy3 0.3554 0.0000 0.6429 (multiplicity 2)
Er1 0.0000 0.2261 0.5000 (multiplicity 2)
Er2 0.5000 0.2257 0.0000 (multiplicity 2)
Er3 0.5000 0.3014 0.5000 (multiplicity 2)